For DyEr2ScTl2, a DFT-relaxed cell (PBE, Alexandria) gives the simulated PXRD pattern in this record (CuKα).
Neutral-atom scattering factors, no anomalous dispersion.

Largest 10 diffraction maxima, in order of rising 2θ, 15° ≤ 2θ ≤ 90°:
(hkl)  two_theta  I (rel.)
0 2 1  22.5  11
0 3 1  30.6  14
1 0 2  31.8  32
0 2 2  32.0  10
1 3 0  33.1  100
1 3 1  35.7  26
2 0 0  36.4  32
0 3 2  38.3  12
0 6 1  58.6  12
3 3 0  63.4  16

Cell and atoms:
```
data_DyEr2ScTl2
_chemical_formula_sum 'Dy2 Er4 Sc2 Tl4'
_cell_length_a 4.9371
_cell_length_b 9.7084
_cell_length_c 6.8383
_cell_angle_alpha 90.00
_cell_angle_beta 90.00
_cell_angle_gamma 90.00
_symmetry_space_group_name_H-M 'P m c 21'
_symmetry_Int_Tables_number 26
_symmetry_space_group_name_Hall 'P 2c -2'
loop_
_atom_site_label
_atom_site_fract_x
_atom_site_fract_y
_atom_site_fract_z
Dy1 0.0000 0.0473 0.0000
Er1 0.0000 0.3106 0.3897
Er2 0.5000 0.4522 0.1004
Sc1 0.5000 0.1960 0.7124
Tl1 0.0000 0.3642 0.8408
Tl2 0.5000 0.1213 0.2709
```